Theoretical powder diffractogram
Compound: MgAg3Br4
Radiation: copper Kα
Structure: a crystal structure in Alexandria, relaxed with PBE
Neutral-atom scattering factors, no anomalous dispersion.

Structural model:
```
data_MgAg3Br4
_symmetry_space_group_name_H-M 'I -4 2 m'
_symmetry_Int_Tables_number 121
_symmetry_space_group_name_Hall 'I -4 2'
_cell_length_a 6.393
_cell_length_b 6.393
_cell_length_c 12.560
_cell_angle_alpha 90.00
_cell_angle_beta 90.00
_cell_angle_gamma 90.00
loop_
_atom_site_label
_atom_site_type_symbol
_atom_site_fract_x
_atom_site_fract_y
_atom_site_fract_z
Mg1 Mg 0.000 0.000 0.000
Ag1 Ag 0.000 0.000 0.500
Ag2 Ag 0.000 0.500 0.250
Br1 Br 0.234 0.234 0.882
```

Top 12 peaks for 5 to 70 degrees two-theta, low angle first:
(1 0 1), 15.6°, I = 4
(1 1 2), 24.3°, I = 100
(1 0 3), 25.4°, I = 4
(2 1 1), 32.1°, I = 6
(2 2 0), 39.9°, I = 25
(2 0 4), 40.3°, I = 50
(3 1 2), 47.2°, I = 30
(1 1 6), 47.9°, I = 15
(4 0 0), 57.7°, I = 8
(0 0 8), 58.8°, I = 4
(3 3 2), 63.5°, I = 6
(3 1 6), 64.0°, I = 13